No. 1
This entry pairs a crystal structure of PmDyTmTl with its simulated PXRD pattern. Radiation: Cu Kα (λ = 1.5418 Å). Structure: a cell relaxed with GGA-PBE.
Lines closer than 0.1° are merged.

Main lines, by intensity (2θ = 10–80°):
(1 1 1), 31.83°, d = 2.812 Å, rel. 100.0
(0 0 2), 36.61°, d = 2.454 Å, rel. 17.2
(0 2 0), 36.89°, d = 2.437 Å, rel. 16.9
(2 0 0), 37.23°, d = 2.415 Å, rel. 16.4
(1 1 3), 62.93°, d = 1.477 Å, rel. 14.4
(1 3 1), 63.31°, d = 1.469 Å, rel. 14.1

Structural model:
```
data_PmDyTmTl
_cell_length_a 4.830
_cell_length_b 4.873
_cell_length_c 4.909
_cell_angle_alpha 90.00
_cell_angle_beta 90.00
_cell_angle_gamma 90.00
_symmetry_space_group_name_H-M 'P m m m'
_symmetry_Int_Tables_number 47
loop_
_symmetry_equiv_pos_as_xyz
'x,y,z'
'-x,-y,-z'
'-x,-y,z'
'x,y,-z'
'x,-y,-z'
'-x,y,z'
'-x,y,-z'
'x,-y,z'
loop_
_atom_site_label
_atom_site_fract_x
_atom_site_fract_y
_atom_site_fract_z
_atom_site_occupancy
Pm1 0.000 0.000 0.000 1
Dy1 0.500 0.500 0.000 1
Tm1 0.500 0.000 0.500 1
Tl1 0.000 0.500 0.500 1
```

No. 2
This entry pairs a crystal structure of Ce3SbH3 with its simulated PXRD pattern. Radiation: Cu Kα (λ = 1.5418 Å). Structure: a cell relaxed with GGA-PBE.
Lines closer than 0.1° are merged.

Main lines, by intensity (2θ = 10–80°):
(2 1 0), 31.25°, d = 2.862 Å, rel. 100.0
(2 1 1), 34.33°, d = 2.613 Å, rel. 70.4
(3 2 1), 53.58°, d = 1.710 Å, rel. 38.9
(2 0 0), 27.88°, d = 3.200 Å, rel. 30.5
(3 2 0), 51.49°, d = 1.775 Å, rel. 24.8
(4 2 1), 67.02°, d = 1.396 Å, rel. 22.4

Structural model:
```
data_Ce3SbH3
_cell_length_a 6.399
_cell_length_b 6.399
_cell_length_c 6.399
_cell_angle_alpha 90.00
_cell_angle_beta 90.00
_cell_angle_gamma 90.00
_symmetry_space_group_name_H-M 'P m -3 n'
_symmetry_Int_Tables_number 223
_symmetry_space_group_name_Hall '-P 4n 2 3'
loop_
_atom_site_label
_atom_site_fract_x
_atom_site_fract_y
_atom_site_fract_z
_atom_site_occupancy
Ce1 0.000 0.250 0.500 1
Sb1 0.000 0.000 0.000 1
H1 0.000 0.500 0.250 1
```

No. 3
This entry pairs a crystal structure of SrSnAu4 with its simulated PXRD pattern. Radiation: Cu Kα (λ = 1.5418 Å). Structure: a cell relaxed with GGA-PBE.
Lines closer than 0.1° are merged.

Main lines, by intensity (2θ = 10–80°):
(0 2 2), 35.25°, d = 2.546 Å, rel. 100.0
(2 0 -1), 18.48°, d = 4.800 Å, rel. 50.4
(4 2 -1), 40.50°, d = 2.227 Å, rel. 45.0
(1 3 1), 38.39°, d = 2.345 Å, rel. 38.5
(3 1 -2), 33.62°, d = 2.666 Å, rel. 37.2
(3 3 0), 42.94°, d = 2.106 Å, rel. 34.3

Structural model:
```
data_SrSnAu4
_cell_length_a 10.798
_cell_length_b 7.983
_cell_length_c 6.905
_cell_angle_alpha 90.00
_cell_angle_beta 106.79
_cell_angle_gamma 90.00
_symmetry_space_group_name_H-M 'C 1 2/m 1'
_symmetry_Int_Tables_number 12
loop_
_symmetry_equiv_pos_as_xyz
'x,y,z'
'-x,-y,-z'
'-x,y,-z'
'x,-y,z'
'x+1/2,y+1/2,z'
'-x+1/2,-y+1/2,-z'
'-x+1/2,y+1/2,-z'
'x+1/2,-y+1/2,z'
loop_
_atom_site_label
_atom_site_fract_x
_atom_site_fract_y
_atom_site_fract_z
_atom_site_occupancy
Sr1 0.159 0.000 0.261 1
Sn1 0.096 0.500 0.281 1
Au1 0.000 0.245 0.500 1
Au2 0.122 0.310 0.928 1
Au3 0.154 0.000 0.759 1
```

No. 4
This entry pairs a crystal structure of Tm2Zr8O19 with its simulated PXRD pattern. Radiation: Cu Kα (λ = 1.5418 Å). Structure: a cell relaxed with GGA-PBE.
Lines closer than 0.1° are merged.

Main lines, by intensity (2θ = 10–80°):
(1 0 5), 29.81°, d = 2.997 Å, rel. 100.0
(1 1 10), 49.58°, d = 1.839 Å, rel. 35.0
(2 1 5), 59.19°, d = 1.561 Å, rel. 27.7
(2 0 0), 49.87°, d = 1.829 Å, rel. 18.8
(1 1 0), 34.69°, d = 2.586 Å, rel. 16.8
(1 0 15), 58.67°, d = 1.574 Å, rel. 12.6

Structural model:
```
data_Tm2Zr8O19
_cell_length_a 3.657
_cell_length_b 3.657
_cell_length_c 26.148
_cell_angle_alpha 90.00
_cell_angle_beta 90.00
_cell_angle_gamma 90.00
_symmetry_space_group_name_H-M 'P -4 m 2'
_symmetry_Int_Tables_number 115
loop_
_symmetry_equiv_pos_as_xyz
'x,y,z'
'y,-x,-z'
'-x,-y,z'
'-y,x,-z'
'-x,y,z'
'-y,-x,-z'
'x,-y,z'
'y,x,-z'
loop_
_atom_site_label
_atom_site_fract_x
_atom_site_fract_y
_atom_site_fract_z
_atom_site_occupancy
Tm1 0.000 0.500 0.056 1
Zr1 0.000 0.500 0.252 1
Zr2 0.000 0.500 0.451 1
Zr3 0.000 0.500 0.648 1
Zr4 0.000 0.500 0.848 1
O1 0.000 0.000 0.000 1
O2 0.000 0.000 0.111 1
O3 0.000 0.000 0.211 1
O4 0.000 0.000 0.309 1
O5 0.000 0.000 0.405 1
O6 0.000 0.000 0.500 1
O7 0.500 0.500 0.093 1
O8 0.500 0.500 0.193 1
O9 0.500 0.500 0.295 1
O10 0.500 0.500 0.397 1
O11 0.500 0.500 0.500 1
```

No. 5
This entry pairs a crystal structure of DyY7Ho5 with its simulated PXRD pattern. Radiation: Cu Kα (λ = 1.5418 Å). Structure: a cell relaxed with GGA-PBE.
Lines closer than 0.1° are merged.

Main lines, by intensity (2θ = 10–80°):
(0 0 4), 30.98°, d = 2.887 Å, rel. 100.0
(2 2 2), 35.01°, d = 2.563 Å, rel. 90.7
(2 2 0), 31.28°, d = 2.860 Å, rel. 70.8
(1 3 2), 31.60°, d = 2.831 Å, rel. 62.7
(0 0 2), 15.34°, d = 5.776 Å, rel. 39.3
(2 2 6), 57.71°, d = 1.597 Å, rel. 36.2

Structural model:
```
data_DyY7Ho5
_cell_length_a 6.659
_cell_length_b 11.161
_cell_length_c 11.554
_cell_angle_alpha 90.00
_cell_angle_beta 90.00
_cell_angle_gamma 90.00
_symmetry_space_group_name_H-M 'I m m 2'
_symmetry_Int_Tables_number 44
loop_
_symmetry_equiv_pos_as_xyz
'x,y,z'
'-x,-y,z'
'-x,y,z'
'x,-y,z'
'x+1/2,y+1/2,z+1/2'
'-x+1/2,-y+1/2,z+1/2'
'-x+1/2,y+1/2,z+1/2'
'x+1/2,-y+1/2,z+1/2'
loop_
_atom_site_label
_atom_site_fract_x
_atom_site_fract_y
_atom_site_fract_z
_atom_site_occupancy
Dy1 0.000 0.000 0.000 1
Y1 0.000 0.000 0.383 1
Y2 0.000 0.000 0.694 1
Y3 0.000 0.327 0.939 1
Y4 0.000 0.331 0.439 1
Y5 0.000 0.500 0.690 1
Ho1 0.000 0.500 0.186 1
Ho2 0.232 0.228 0.190 1
```

No. 6
This entry pairs a crystal structure of Rb2Cd2S3 with its simulated PXRD pattern. Radiation: Cu Kα (λ = 1.5418 Å). Structure: a cell relaxed with GGA-PBE.
Lines closer than 0.1° are merged.

Main lines, by intensity (2θ = 10–80°):
(3 3 -1), 24.58°, d = 3.622 Å, rel. 100.0
(2 4 1), 31.92°, d = 2.804 Å, rel. 53.8
(5 1 0), 29.87°, d = 2.992 Å, rel. 35.2
(1 1 -2), 25.84°, d = 3.448 Å, rel. 28.4
(2 0 0), 11.60°, d = 7.631 Å, rel. 28.0
(3 3 -3), 41.44°, d = 2.179 Å, rel. 24.6

Structural model:
```
data_Rb2Cd2S3
_cell_length_a 16.802
_cell_length_b 15.076
_cell_length_c 7.257
_cell_angle_alpha 90.00
_cell_angle_beta 114.72
_cell_angle_gamma 90.00
_symmetry_space_group_name_H-M 'C 1 2/c 1'
_symmetry_Int_Tables_number 15
loop_
_symmetry_equiv_pos_as_xyz
'x,y,z'
'-x,-y,-z'
'-x,y,-z+1/2'
'x,-y,z+1/2'
'x+1/2,y+1/2,z'
'-x+1/2,-y+1/2,-z'
'-x+1/2,y+1/2,-z+1/2'
'x+1/2,-y+1/2,z+1/2'
loop_
_atom_site_label
_atom_site_fract_x
_atom_site_fract_y
_atom_site_fract_z
_atom_site_occupancy
Rb1 0.000 0.068 0.250 1
Rb2 0.000 0.214 0.750 1
Rb3 0.101 0.409 0.570 1
Cd1 0.190 0.229 0.255 1
Cd2 0.222 0.074 0.802 1
S1 0.118 0.374 0.074 1
S2 0.149 0.206 0.562 1
S3 0.165 0.073 0.085 1
```

No. 7
This entry pairs a crystal structure of BaPrGa4 with its simulated PXRD pattern. Radiation: Cu Kα (λ = 1.5418 Å). Structure: a cell relaxed with GGA-PBE.
Lines closer than 0.1° are merged.

Main lines, by intensity (2θ = 10–80°):
(1 1 2), 30.46°, d = 2.935 Å, rel. 100.0
(0 2 2), 29.96°, d = 2.983 Å, rel. 52.0
(1 3 0), 40.81°, d = 2.211 Å, rel. 41.6
(1 3 4), 57.27°, d = 1.609 Å, rel. 27.0
(0 0 4), 38.38°, d = 2.345 Å, rel. 22.1
(2 2 2), 52.40°, d = 1.746 Å, rel. 21.4

Structural model:
```
data_BaPrGa4
_cell_length_a 4.308
_cell_length_b 7.729
_cell_length_c 9.381
_cell_angle_alpha 90.00
_cell_angle_beta 90.00
_cell_angle_gamma 90.00
_symmetry_space_group_name_H-M 'I m m m'
_symmetry_Int_Tables_number 71
_symmetry_space_group_name_Hall '-I 2 2'
loop_
_atom_site_label
_atom_site_fract_x
_atom_site_fract_y
_atom_site_fract_z
_atom_site_occupancy
Ba1 0.000 0.000 0.000 1
Pr1 0.000 0.000 0.500 1
Ga1 0.000 0.333 0.231 1
```

No. 8
This entry pairs a crystal structure of Hg5H2Br2 with its simulated PXRD pattern. Radiation: Cu Kα (λ = 1.5418 Å). Structure: a cell relaxed with GGA-PBE.
Lines closer than 0.1° are merged.

Main lines, by intensity (2θ = 10–80°):
(0 3 1), 28.61°, d = 3.120 Å, rel. 100.0
(0 1 3), 28.46°, d = 3.136 Å, rel. 74.8
(2 1 2), 29.71°, d = 3.007 Å, rel. 69.5
(-2 1 1), 30.05°, d = 2.974 Å, rel. 50.1
(0 1 0), 10.69°, d = 8.274 Å, rel. 44.6
(1 -1 2), 28.88°, d = 3.092 Å, rel. 40.9

Structural model:
```
data_Hg5H2Br2
_cell_length_a 6.809
_cell_length_b 9.527
_cell_length_c 9.744
_cell_angle_alpha 60.80
_cell_angle_beta 78.93
_cell_angle_gamma 89.74
_symmetry_space_group_name_H-M 'P 1'
_symmetry_Int_Tables_number 1
loop_
_symmetry_equiv_pos_as_xyz
'x,y,z'
loop_
_atom_site_label
_atom_site_fract_x
_atom_site_fract_y
_atom_site_fract_z
_atom_site_occupancy
Hg1 0.000 0.000 0.000 1
Hg2 0.029 0.630 0.754 1
Hg3 0.164 0.488 0.284 1
Hg4 0.327 0.257 0.648 1
Hg5 0.392 0.138 0.377 1
Hg6 0.498 0.261 0.998 1
Hg7 0.531 0.886 0.744 1
Hg8 0.665 0.487 0.283 1
Hg9 0.828 0.358 0.648 1
Hg10 0.884 0.743 0.379 1
H1 0.010 0.862 0.947 1
H2 0.319 0.785 0.868 1
H3 0.504 0.452 0.946 1
H4 0.824 0.606 0.885 1
Br1 0.355 0.670 0.564 1
Br2 0.488 0.967 0.069 1
Br3 0.866 0.024 0.566 1
Br4 0.985 0.222 0.072 1
```

No. 9
This entry pairs a crystal structure of PaCoRh with its simulated PXRD pattern. Radiation: Cu Kα (λ = 1.5418 Å). Structure: a cell relaxed with GGA-PBE.
Lines closer than 0.1° are merged.

Main lines, by intensity (2θ = 10–80°):
(1 1 0), 39.82°, d = 2.264 Å, rel. 100.0
(1 0 2), 39.56°, d = 2.278 Å, rel. 81.8
(1 0 1), 27.78°, d = 3.212 Å, rel. 65.5
(2 1 2), 72.11°, d = 1.310 Å, rel. 27.6
(2 0 2), 57.38°, d = 1.606 Å, rel. 27.4
(1 1 2), 51.95°, d = 1.760 Å, rel. 20.3

Structural model:
```
data_PaCoRh
_cell_length_a 4.5281
_cell_length_b 4.5281
_cell_length_c 5.5983
_cell_angle_alpha 90.00
_cell_angle_beta 90.00
_cell_angle_gamma 120.00
_symmetry_space_group_name_H-M 'P 63/m m c'
_symmetry_Int_Tables_number 194
_symmetry_space_group_name_Hall '-P 6c 2c'
loop_
_atom_site_label
_atom_site_fract_x
_atom_site_fract_y
_atom_site_fract_z
_atom_site_occupancy
Pa1 0.3333 0.6667 0.2500 1
Co1 0.3333 0.6667 0.7500 1
Rh1 0.0000 0.0000 0.0000 1
```

No. 10
This entry pairs a crystal structure of PmHg3F8 with its simulated PXRD pattern. Radiation: Cu Kα (λ = 1.5418 Å). Structure: a cell relaxed with GGA-PBE.
Lines closer than 0.1° are merged.

Main lines, by intensity (2θ = 10–80°):
(1 1 1), 26.91°, d = 3.314 Å, rel. 100.0
(2 2 0), 44.66°, d = 2.029 Å, rel. 55.9
(3 1 1), 52.91°, d = 1.730 Å, rel. 47.9
(2 0 0), 31.17°, d = 2.870 Å, rel. 31.8
(3 3 1), 71.68°, d = 1.317 Å, rel. 19.7
(4 2 0), 73.84°, d = 1.283 Å, rel. 13.1

Structural model:
```
data_PmHg3F8
_cell_length_a 5.739
_cell_length_b 5.739
_cell_length_c 5.739
_cell_angle_alpha 90.00
_cell_angle_beta 90.00
_cell_angle_gamma 90.00
_symmetry_space_group_name_H-M 'P m -3 m'
_symmetry_Int_Tables_number 221
_symmetry_space_group_name_Hall '-P 4 2 3'
loop_
_atom_site_label
_atom_site_fract_x
_atom_site_fract_y
_atom_site_fract_z
_atom_site_occupancy
Pm1 0.000 0.000 0.000 1
Hg1 0.000 0.500 0.500 1
F1 0.240 0.240 0.240 1
```

No. 11
This entry pairs a crystal structure of TlSnTe3 with its simulated PXRD pattern. Radiation: Cu Kα (λ = 1.5418 Å). Structure: a cell relaxed with GGA-PBE.
Lines closer than 0.1° are merged.

Main lines, by intensity (2θ = 10–80°):
(0 2 0), 28.16°, d = 3.169 Å, rel. 100.0
(2 0 0), 25.47°, d = 3.497 Å, rel. 86.4
(1 0 -3), 31.13°, d = 2.873 Å, rel. 58.1
(2 2 0), 38.34°, d = 2.348 Å, rel. 54.7
(1 2 -3), 42.47°, d = 2.128 Å, rel. 49.9
(0 0 1), 10.55°, d = 8.388 Å, rel. 47.5

Structural model:
```
data_TlSnTe3
_cell_length_a 7.254
_cell_length_b 6.337
_cell_length_c 8.702
_cell_angle_alpha 90.00
_cell_angle_beta 105.43
_cell_angle_gamma 90.00
_symmetry_space_group_name_H-M 'P 1 21/m 1'
_symmetry_Int_Tables_number 11
loop_
_symmetry_equiv_pos_as_xyz
'x,y,z'
'-x,-y,-z'
'-x,y+1/2,-z'
'x,-y+1/2,z'
loop_
_atom_site_label
_atom_site_fract_x
_atom_site_fract_y
_atom_site_fract_z
_atom_site_occupancy
Tl1 0.039 0.250 0.356 1
Sn1 0.397 0.250 0.817 1
Te1 0.011 0.750 0.278 1
Te2 0.441 0.750 0.836 1
Te3 0.489 0.750 0.487 1
```

No. 12
This entry pairs a crystal structure of YNbGa2O8 with its simulated PXRD pattern. Radiation: Cu Kα (λ = 1.5418 Å). Structure: a cell relaxed with GGA-PBE.
Lines closer than 0.1° are merged.

Main lines, by intensity (2θ = 10–80°):
(2 0 0), 25.96°, d = 3.432 Å, rel. 100.0
(1 1 2), 33.13°, d = 2.704 Å, rel. 72.2
(3 1 2), 50.54°, d = 1.806 Å, rel. 63.3
(3 3 2), 64.29°, d = 1.449 Å, rel. 19.4
(2 2 0), 37.04°, d = 2.427 Å, rel. 17.7
(4 0 0), 53.39°, d = 1.716 Å, rel. 16.3

Structural model:
```
data_YNbGa2O8
_cell_length_a 6.865
_cell_length_b 6.865
_cell_length_c 6.511
_cell_angle_alpha 90.00
_cell_angle_beta 90.00
_cell_angle_gamma 90.00
_symmetry_space_group_name_H-M 'I -4 m 2'
_symmetry_Int_Tables_number 119
_symmetry_space_group_name_Hall 'I -4 -2'
loop_
_atom_site_label
_atom_site_fract_x
_atom_site_fract_y
_atom_site_fract_z
_atom_site_occupancy
Y1 0.000 0.000 0.000 1
Nb1 0.000 0.500 0.250 1
Ga1 0.000 0.000 0.500 1
Ga2 0.000 0.500 0.750 1
O1 0.000 0.205 0.315 1
O2 0.000 0.325 0.964 1
```